Diffraction record for Pr2Ge3Pd. The X-ray powder pattern is calculated, not measured: it uses a cell relaxed with GGA-PBE and copper Kα.

Main lines, low angle first (2θ from 5° to 70°):
31.89°, d = 2.806 Å, rel. 100; 42.09°, d = 2.147 Å, rel. 44; 42.27°, d = 2.138 Å, rel. 14; 53.79°, d = 1.704 Å, rel. 15; 61.16°, d = 1.515 Å, rel. 19; 61.21°, d = 1.514 Å, rel. 9

Crystal structure
```
Pr2Ge3Pd
1.0
0.000 4.289 7.444
4.277 0.000 7.444
4.277 4.289 0.000
Pr Ge Pd
4 6 2
Direct
0.245 0.755 0.755
0.250 0.250 0.250
0.750 0.750 0.750
0.755 0.245 0.245
0.168 0.168 0.832
0.169 0.663 0.337
0.337 0.831 0.169
0.663 0.169 0.831
0.831 0.337 0.663
0.832 0.832 0.168
0.333 0.333 0.667
0.667 0.667 0.333
```

Diffraction record for Pr3Ge5Pd6. The X-ray powder pattern is calculated, not measured: it uses a cell relaxed with GGA-PBE and copper Kα.

Main lines, low angle first (2θ from 5° to 70°):
34.24°, d = 2.619 Å, rel. 21; 34.69°, d = 2.586 Å, rel. 100; 40.49°, d = 2.228 Å, rel. 14; 41.32°, d = 2.185 Å, rel. 18; 42.72°, d = 2.117 Å, rel. 26; 60.93°, d = 1.520 Å, rel. 11

Crystal structure
```
Pr3Ge5Pd6
1.0
4.234 0.000 0.000
0.000 13.110 0.000
0.000 0.000 9.813
Pr Ge Pd
6 10 12
Direct
0.250 0.079 0.245
0.250 0.421 0.245
0.250 0.750 0.257
0.750 0.250 0.743
0.750 0.579 0.755
0.750 0.921 0.755
0.250 0.085 0.853
0.250 0.415 0.853
0.250 0.635 0.537
0.250 0.750 0.844
0.250 0.865 0.537
0.750 0.135 0.463
0.750 0.250 0.156
0.750 0.365 0.463
0.750 0.585 0.147
0.750 0.915 0.147
0.250 0.057 0.591
0.250 0.250 0.001
0.250 0.250 0.484
0.250 0.443 0.591
0.250 0.583 0.003
0.250 0.917 0.003
0.750 0.083 0.997
0.750 0.417 0.997
0.750 0.557 0.409
0.750 0.750 0.516
0.750 0.750 0.999
0.750 0.943 0.409
```

Diffraction record for Pr2Ge3Pd5. The X-ray powder pattern is calculated, not measured: it uses a cell relaxed with GGA-PBE and copper Kα.

Main lines, low angle first (2θ from 5° to 70°):
31.87°, d = 2.808 Å, rel. 31; 34.13°, d = 2.627 Å, rel. 100; 43.16°, d = 2.096 Å, rel. 49; 44.20°, d = 2.049 Å, rel. 20; 45.46°, d = 1.995 Å, rel. 22; 62.68°, d = 1.482 Å, rel. 16

Crystal structure
```
Pr2Ge3Pd5
1.0
4.192 0.000 0.000
0.000 4.192 0.000
0.000 0.000 11.344
Pr Ge Pd
2 3 5
Direct
0.000 0.500 0.223
0.500 0.000 0.777
0.000 0.500 0.636
0.500 0.000 0.364
0.500 0.500 0.500
0.000 0.000 0.000
0.000 0.000 0.500
0.000 0.500 0.847
0.500 0.000 0.153
0.500 0.500 0.000
```